# 1
Diffraction record for SmDy8Cd6. The powder X-ray diffraction pattern is theoretical, not measured: it uses a crystal structure in Alexandria, relaxed with GGA-PBE and CuKα.
No peak broadening, texture or thermal motion is included.

Structure:
```
SmDy8Cd6
1.0
4.498 2.597 6.367
-4.498 2.597 6.367
0.000 -5.194 6.367
Sm Dy Cd
1 8 6
direct
0.000 0.000 0.000 Sm
0.117 0.784 0.448 Dy
0.216 0.552 0.883 Dy
0.333 0.333 0.333 Dy
0.448 0.117 0.784 Dy
0.552 0.883 0.216 Dy
0.667 0.667 0.667 Dy
0.784 0.448 0.117 Dy
0.883 0.216 0.552 Dy
0.052 0.389 0.715 Cd
0.285 0.948 0.611 Cd
0.389 0.715 0.052 Cd
0.611 0.285 0.948 Cd
0.715 0.052 0.389 Cd
0.948 0.611 0.285 Cd
```

Most intense lines, 2θ = 10–90°, sorted by position:
Position (°2θ)  intensity
19.74  6
24.23  18
34.52  100
42.63  5
49.63  18
55.97  7
61.86  35
72.81  10
78.03  3
83.14  15

***

# 2
Diffraction record for TbSm2Dy2Cd. The powder X-ray diffraction pattern is theoretical, not measured: it uses a crystal structure in Alexandria, relaxed with GGA-PBE and CuKα.
No peak broadening, texture or thermal motion is included.

Structure:
```
TbSm2Dy2Cd
1.0
6.555 0.000 0.000
0.000 10.126 0.000
0.000 0.000 5.597
Tb Sm Dy Cd
2 4 4 2
direct
0.000 0.000 0.000 Tb
0.500 0.500 0.500 Tb
0.197 0.370 0.000 Sm
0.303 0.870 0.500 Sm
0.697 0.130 0.500 Sm
0.803 0.630 0.000 Sm
0.200 0.201 0.500 Dy
0.300 0.701 0.000 Dy
0.700 0.299 0.000 Dy
0.800 0.799 0.500 Dy
0.000 0.500 0.500 Cd
0.500 0.000 0.000 Cd
```

Most intense lines, 2θ = 10–90°, sorted by position:
Position (°2θ)  intensity
28.63  21
30.94  100
31.98  63
32.54  37
32.88  78
33.90  36
36.39  20
46.28  28
56.33  29
66.83  19